AcMn2NbO8: theoretical powder diffraction line list (Cu Kα, 1.54184 Å), based on the PBE+U geometry in Alexandria.
Peak positions follow from Bragg's law for the DFT cell and can differ from measured ones.

Atomic structure:
Lattice parameters (Å, degrees): 4.876 5.009 7.053 80.03 81.85 79.26
Space group P-1 (No. 2)
Asymmetric unit:
1 Ac 0.000 0.000 0.000
2 Mn 0.451 0.449 0.226
3 Nb 0.000 0.000 0.500
4 O 0.197 0.758 0.724
5 O 0.200 0.766 0.296
6 O 0.286 0.239 0.432
7 O 0.392 0.301 0.009

Largest 10 diffraction maxima, sorted by position, 2θ from 5° to 70°:
6.902 Å, 12.83°, intensity 27.8; 4.865 Å, 18.24°, intensity 34.4; 4.760 Å, 18.64°, intensity 29.4; 3.725 Å, 23.89°, intensity 100.0; 3.151 Å, 28.32°, intensity 53.9; 3.039 Å, 29.39°, intensity 46.2; 2.958 Å, 30.22°, intensity 37.5; 2.655 Å, 33.76°, intensity 22.5; 2.633 Å, 34.04°, intensity 29.2; 2.330 Å, 38.64°, intensity 18.2